# 1
Simulated powder diffractogram of KCoP3O9 for copper Kα, from a GGA+U-relaxed structure.

Lattice parameters (Å, degrees): 7.1980 7.6192 10.0335 90.62 108.73 117.29
Positions (direct):
K1 0.0000 0.0000 0.0000
K2 0.3901 0.0097 0.3545
Co1 0.5336 0.5948 0.4307
Co2 0.5459 0.1002 0.9624
P1 0.0859 0.4906 0.0741
P2 0.0884 0.6568 0.8120
P3 0.4324 0.7127 0.7056
P4 0.5197 0.4574 0.1630
P5 0.5570 0.3961 0.6964
P6 0.7446 0.8977 0.2327
O1 0.0975 0.6731 0.1379
O2 0.1429 0.5274 0.9230
O3 0.1674 0.6146 0.6896
O4 0.1893 0.8746 0.8677
O5 0.2915 0.4573 0.1709
O6 0.4348 0.7268 0.5565
O7 0.4490 0.2917 0.0451
O8 0.4587 0.3583 0.5351
O9 0.4840 0.5360 0.7629
O10 0.5237 0.2261 0.7722
O11 0.5758 0.8913 0.8242
O12 0.5925 0.9737 0.1397
O13 0.6250 0.4413 0.3166
O14 0.6522 0.6716 0.1294
O15 0.6870 0.8451 0.3683
O16 0.8272 0.5596 0.7350
O17 0.8824 0.2878 0.0322
O18 0.9905 0.0118 0.2593

The 6 most intense peaks (10° ≤ 2θ ≤ 80°), low angle first:
| Position (°2θ) | d [Å] | Rel. int. |
| --- | --- | --- |
| 14.88 | 5.954 | 100 |
| 15.48 | 5.725 | 59 |
| 20.43 | 4.346 | 28 |
| 21.10 | 4.210 | 41 |
| 30.04 | 2.975 | 39 |
| 31.25 | 2.862 | 31 |


# 2
Simulated powder diffractogram of KCoP3O9 for copper Kα, from a GGA+U-relaxed structure.

Lattice parameters (Å, degrees): 6.7293 6.7293 9.9505 90.00 90.00 120.00
Positions (direct):
K1 0.0000 0.0000 0.0000
K2 0.0000 0.0000 0.5000
Co1 0.6667 0.3333 0.0000
Co2 0.6667 0.3333 0.5000
P1 0.0511 0.4421 0.2500
P2 0.0511 0.6090 0.7500
P3 0.3910 0.4421 0.7500
P4 0.3910 0.9489 0.2500
P5 0.5579 0.6090 0.2500
P6 0.5579 0.9489 0.7500
O1 0.1440 0.4293 0.7500
O2 0.1440 0.7148 0.2500
O3 0.2852 0.4293 0.2500
O4 0.2852 0.8560 0.7500
O5 0.4082 0.0700 0.1202
O6 0.4082 0.0700 0.3798
O7 0.4082 0.3383 0.6202
O8 0.4082 0.3383 0.8798
O9 0.5707 0.7148 0.7500
O10 0.5707 0.8560 0.2500
O11 0.6617 0.0700 0.6202
O12 0.6617 0.0700 0.8798
O13 0.6617 0.5918 0.1202
O14 0.6617 0.5918 0.3798
O15 0.9300 0.3383 0.1202
O16 0.9300 0.3383 0.3798
O17 0.9300 0.5918 0.6202
O18 0.9300 0.5918 0.8798

The 6 most intense peaks (10° ≤ 2θ ≤ 80°), low angle first:
| Position (°2θ) | d [Å] | Rel. int. |
| --- | --- | --- |
| 15.20 | 5.828 | 36 |
| 23.51 | 3.784 | 100 |
| 27.99 | 3.187 | 39 |
| 30.68 | 2.914 | 20 |
| 32.11 | 2.787 | 77 |
| 57.82 | 1.595 | 21 |


# 3
Simulated powder diffractogram of K2CoP4O12 for copper Kα, from a GGA+U-relaxed structure.

Lattice parameters (Å, degrees): 8.5074 8.5074 7.7758 98.43 98.43 97.02
Positions (direct):
K1 0.1258 0.8742 0.5000
K2 0.5699 0.8375 0.3358
K3 0.8375 0.5699 0.8358
K4 0.8742 0.1258 0.0000
Co1 0.2139 0.5212 0.1696
Co2 0.5212 0.2139 0.6696
P1 0.1848 0.3371 0.7550
P2 0.1954 0.8718 0.9943
P3 0.3371 0.1848 0.2550
P4 0.4026 0.5565 0.5998
P5 0.4996 0.8740 0.8393
P6 0.5565 0.4026 0.0998
P7 0.8718 0.1954 0.4943
P8 0.8740 0.4996 0.3393
O1 0.0274 0.8583 0.8987
O2 0.0569 0.2471 0.5860
O3 0.0982 0.3849 0.9059
O4 0.2288 0.3109 0.2732
O5 0.2374 0.7645 0.1268
O6 0.2471 0.0569 0.0860
O7 0.2513 0.5014 0.6914
O8 0.3079 0.8590 0.8419
O9 0.3109 0.2288 0.7732
O10 0.3403 0.6359 0.4478
O11 0.3849 0.0982 0.4059
O12 0.4266 0.5057 0.0752
O13 0.5014 0.2513 0.1914
O14 0.5057 0.4266 0.5752
O15 0.5142 0.6914 0.7530
O16 0.5344 0.9795 0.7050
O17 0.5998 0.9096 0.0178
O18 0.6359 0.3403 0.9478
O19 0.6914 0.5142 0.2530
O20 0.7645 0.2374 0.6268
O21 0.8583 0.0274 0.3987
O22 0.8590 0.3079 0.3419
O23 0.9096 0.5998 0.5178
O24 0.9795 0.5344 0.2050

The 6 most intense peaks (10° ≤ 2θ ≤ 80°), low angle first:
| Position (°2θ) | d [Å] | Rel. int. |
| --- | --- | --- |
| 10.63 | 8.324 | 100 |
| 22.58 | 3.938 | 43 |
| 24.11 | 3.692 | 54 |
| 26.19 | 3.403 | 44 |
| 31.49 | 2.841 | 63 |
| 32.26 | 2.775 | 56 |